PrGdSc: calculated X-ray diffraction stick pattern (a wavelength of 1.5418 Å), based on a PBE-relaxed structure.

Atomic structure:
```
3
Lattice="0.000 3.727 3.727 3.727 0.000 3.727 3.727 3.727 0.000" Properties=species:S:1:pos:R:3 pbc="T T T"
Pr 0.000 0.000 0.000
Gd 5.590 5.590 5.590
Sc 1.863 1.863 1.863
```

Top 10 peaks for 10 to 90 degrees two-theta, most intense first:
2θ (°), I/Imax
34.02, 100
20.64, 64
60.89, 37
40.13, 35
48.88, 18
81.72, 16
53.60, 15
65.02, 12
75.46, 11
71.62, 11

***

In2Au2O5: calculated X-ray diffraction stick pattern (a wavelength of 1.5418 Å), based on a PBE-relaxed structure.

Atomic structure:
```
9
Lattice="3.868 0.000 0.000 0.000 3.868 0.000 0.000 0.000 8.536" Properties=species:S:1:pos:R:3 pbc="T T T"
In 0.000 0.000 2.089
In 0.000 0.000 6.447
Au 1.934 1.934 0.000
Au 1.934 1.934 4.268
O 0.000 0.000 0.000
O 0.000 1.934 2.960
O 0.000 1.934 5.576
O 1.934 0.000 2.960
O 1.934 0.000 5.576
```

Top 10 peaks for 10 to 90 degrees two-theta, most intense first:
2θ (°), I/Imax
31.21, 100
32.74, 39
57.49, 36
54.54, 26
46.98, 21
65.09, 12
89.12, 11
42.36, 10
70.54, 10
77.31, 8

***

GdCo2Os6: calculated X-ray diffraction stick pattern (a wavelength of 1.5418 Å), based on a PBE-relaxed structure.

Atomic structure:
```
9
Lattice="3.795 0.000 0.000 0.000 3.811 0.000 0.000 0.000 11.988" Properties=species:S:1:pos:R:3 pbc="T T T"
Gd 0.000 0.000 0.000
Co 1.897 1.905 3.775
Co 1.897 1.905 8.212
Os 0.000 1.905 2.298
Os 0.000 1.905 9.690
Os 1.897 0.000 2.303
Os 1.897 0.000 9.685
Os 1.897 1.905 0.000
Os 1.897 1.905 5.994
```

Top 10 peaks for 10 to 90 degrees two-theta, most intense first:
2θ (°), I/Imax
36.63, 100
40.43, 67
45.36, 26
47.73, 23
47.95, 23
72.17, 18
51.04, 18
29.81, 16
69.97, 15
37.51, 14

***

TlCu: calculated X-ray diffraction stick pattern (a wavelength of 1.5418 Å), based on a PBE-relaxed structure.

Atomic structure:
```
6
Lattice="5.489 0.000 0.000 -2.745 4.754 0.000 0.000 0.000 4.694" Properties=species:S:1:pos:R:3 pbc="T T T"
Tl 0.000 0.000 0.000
Tl 0.000 3.169 2.347
Tl 2.745 1.585 2.347
Cu -1.372 2.377 0.000
Cu 2.745 0.000 0.000
Cu 1.372 2.377 0.000
```

Top 10 peaks for 10 to 90 degrees two-theta, most intense first:
2θ (°), I/Imax
26.69, 100
42.64, 99
32.63, 78
51.21, 45
38.35, 39
54.70, 29
37.98, 27
81.20, 26
68.36, 21
72.30, 20

***

Zr2Sc4Bi3C3: calculated X-ray diffraction stick pattern (a wavelength of 1.5418 Å), based on a PBE-relaxed structure.

Atomic structure:
```
24
Lattice="5.176 -2.987 0.000 5.176 2.987 0.000 -3.456 0.000 14.692" Properties=species:S:1:pos:R:3 pbc="T T T"
Zr 2.563 2.477 8.531
Zr 2.603 2.477 13.507
Zr 4.292 -2.477 1.185
Zr 4.332 -2.477 6.161
Sc 2.610 0.514 1.190
Sc 2.585 0.472 6.156
Sc 0.882 -0.514 8.536
Sc 0.857 -0.472 13.502
Sc 6.038 0.472 1.190
Sc 6.013 0.514 6.156
Sc 4.310 -0.472 8.536
Sc 4.285 -0.514 13.502
Bi -0.852 0.499 11.011
Bi 0.877 -0.499 3.665
Bi 2.583 0.477 11.019
Bi 4.312 -0.477 3.673
Bi 6.018 0.499 11.027
Bi 7.747 -0.499 3.681
C 0.860 1.493 7.346
C 4.333 1.525 0.000
C 4.290 1.525 7.346
C 2.588 -1.493 0.000
C 2.605 -1.525 7.346
C 6.019 -1.525 0.000
```

Top 10 peaks for 10 to 90 degrees two-theta, most intense first:
2θ (°), I/Imax
35.19, 100
12.05, 38
30.53, 29
29.91, 22
53.09, 22
66.28, 20
36.70, 19
65.31, 16
48.04, 15
88.95, 15

***

H2OsSe: calculated X-ray diffraction stick pattern (a wavelength of 1.5418 Å), based on a PBE-relaxed structure.

Atomic structure:
```
4
Lattice="1.484 0.857 5.615 -1.484 0.857 5.615 0.000 -1.714 5.615" Properties=species:S:1:pos:R:3 pbc="T T T"
H 0.000 0.000 0.000
H 0.000 0.000 4.147
Os 0.000 0.000 10.610
Se 0.000 0.000 13.026
```

Top 10 peaks for 10 to 90 degrees two-theta, most intense first:
2θ (°), I/Imax
35.32, 100
15.78, 58
36.55, 53
31.87, 45
52.06, 40
44.32, 33
56.49, 27
71.97, 26
62.59, 23
41.14, 16